# Ba6PtAu
Theoretical PXRD pattern, λ = 1.5418 Å (Cu Kα). Input: the PBE geometry in Alexandria.
Neutral-atom scattering factors, no anomalous dispersion.

Most intense lines, 10° ≤ 2θ ≤ 90°, sorted by position:
2θ (°)	intensity	(hkl)
14.10	24	1 0 1
17.36	43	1 0 2
25.25	100	1 1 2
32.57	69	2 -1 4
39.19	46	3 0 0
42.27	25	1 1 6
51.84	18	2 2 4
63.51	22	3 0 8

Atomic structure:
```
data_Ba6PtAu
_space_group_name_H-M_alt 'P -3 1 c'
_space_group_IT_number 163
_space_group_name_Hall '-P 3 2c'
_cell_length_a 7.9633
_cell_length_b 7.9633
_cell_length_c 15.2059
_cell_angle_alpha 90.00
_cell_angle_beta 90.00
_cell_angle_gamma 120.00
loop_
_atom_site_label
_atom_site_type_symbol
_atom_site_fract_x
_atom_site_fract_y
_atom_site_fract_z
Ba1 Ba 0.0026 0.3240 0.1219
Pt1 Pt 0.0000 0.0000 0.0000
Au1 Au 0.3333 0.6667 0.2500
```